(1)
This entry pairs a crystal structure of Nd3Sm4TmTe8 with its calculated powder XRD pattern. Radiation: Cu Kα. Structure: a PBE-relaxed structure.
Intensities are scaled so that the largest is 100.

The 10 most intense peaks (10° ≤ 2θ ≤ 90°), in order of rising 2θ:
2theta  I (rel.)
28.4  100
40.5  38
40.6  38
50.2  20
50.4  7
58.7  13
66.4  17
66.5  17
73.7  19
74.0  6

Structural model:
```
data_Nd3Sm4TmTe8
_cell_length_a 8.886
_cell_length_b 8.886
_cell_length_c 8.886
_cell_angle_alpha 60.20
_cell_angle_beta 60.20
_cell_angle_gamma 60.20
_symmetry_space_group_name_H-M 'P 1'
_symmetry_Int_Tables_number 1
loop_
_symmetry_equiv_pos_as_xyz
'x,y,z'
loop_
_atom_site_label
_atom_site_type_symbol
_atom_site_fract_x
_atom_site_fract_y
_atom_site_fract_z
_atom_site_occupancy
Nd1 Nd 0.000 0.500 0.500 1
Nd2 Nd 0.500 0.000 0.500 1
Nd3 Nd 0.500 0.500 0.000 1
Sm1 Sm 0.000 0.000 0.500 1
Sm2 Sm 0.000 0.500 0.000 1
Sm3 Sm 0.500 0.000 0.000 1
Sm4 Sm 0.500 0.500 0.500 1
Tm1 Tm 0.000 0.000 0.000 1
Te1 Te 0.242 0.755 0.755 1
Te2 Te 0.245 0.245 0.758 1
Te3 Te 0.245 0.758 0.245 1
Te4 Te 0.248 0.248 0.248 1
Te5 Te 0.752 0.752 0.752 1
Te6 Te 0.755 0.242 0.755 1
Te7 Te 0.755 0.755 0.242 1
Te8 Te 0.758 0.245 0.245 1
```

(2)
This entry pairs a crystal structure of Er4TlGeSe2 with its calculated powder XRD pattern. Radiation: Cu Kα. Structure: a PBE-relaxed structure.
Intensities are scaled so that the largest is 100.

The 10 most intense peaks (10° ≤ 2θ ≤ 90°), in order of rising 2θ:
2theta  I (rel.)
16.9  5
26.3  8
27.4  4
30.4  100
43.6  75
51.6  4
54.1  26
63.4  12
71.9  34
80.1  25

Structural model:
```
data_Er4TlGeSe2
_cell_length_a 7.194
_cell_length_b 7.194
_cell_length_c 7.194
_cell_angle_alpha 131.85
_cell_angle_beta 131.85
_cell_angle_gamma 70.47
_symmetry_space_group_name_H-M 'P 1'
_symmetry_Int_Tables_number 1
loop_
_symmetry_equiv_pos_as_xyz
'x,y,z'
loop_
_atom_site_label
_atom_site_type_symbol
_atom_site_fract_x
_atom_site_fract_y
_atom_site_fract_z
_atom_site_occupancy
Er1 Er 0.242 0.242 0.000 1
Er2 Er 0.503 0.003 0.500 1
Er3 Er 0.758 0.758 0.000 1
Er4 Er 0.997 0.497 0.500 1
Tl1 Tl 0.500 0.500 0.000 1
Ge1 Ge 0.750 0.250 0.500 1
Se1 Se 0.000 0.000 0.000 1
Se2 Se 0.250 0.750 0.500 1
```

(3)
This entry pairs a crystal structure of Al2V4Cr with its calculated powder XRD pattern. Radiation: Cu Kα. Structure: a PBE-relaxed structure.
Intensities are scaled so that the largest is 100.

The 10 most intense peaks (10° ≤ 2θ ≤ 90°), in order of rising 2θ:
2theta  I (rel.)
38.3  16
41.3  71
43.0  100
44.0  77
47.5  27
61.7  14
62.5  13
77.0  19
78.0  21
79.6  23

Structural model:
```
data_Al2V4Cr
_cell_length_a 11.364
_cell_length_b 11.364
_cell_length_c 3.008
_cell_angle_alpha 90.00
_cell_angle_beta 90.00
_cell_angle_gamma 164.97
_symmetry_space_group_name_H-M 'P 1'
_symmetry_Int_Tables_number 1
loop_
_symmetry_equiv_pos_as_xyz
'x,y,z'
loop_
_atom_site_label
_atom_site_type_symbol
_atom_site_fract_x
_atom_site_fract_y
_atom_site_fract_z
_atom_site_occupancy
Al1 Al 0.198 0.802 0.000 1
Al2 Al 0.802 0.198 0.000 1
V1 V 0.064 0.936 0.000 1
V2 V 0.374 0.626 0.500 1
V3 V 0.626 0.374 0.500 1
V4 V 0.936 0.064 0.000 1
Cr1 Cr 0.500 0.500 0.500 1
```

(4)
This entry pairs a crystal structure of Tm7Tl2Ag2 with its calculated powder XRD pattern. Radiation: Cu Kα. Structure: a PBE-relaxed structure.
Intensities are scaled so that the largest is 100.

The 10 most intense peaks (10° ≤ 2θ ≤ 90°), in order of rising 2θ:
2theta  I (rel.)
25.3  43
27.3  34
28.2  46
29.5  26
32.3  63
36.5  58
37.1  100
41.5  21
50.5  19
61.2  19

Structural model:
```
data_Tm7Tl2Ag2
_cell_length_a 6.855
_cell_length_b 6.855
_cell_length_c 7.236
_cell_angle_alpha 90.00
_cell_angle_beta 90.00
_cell_angle_gamma 107.94
_symmetry_space_group_name_H-M 'P 1'
_symmetry_Int_Tables_number 1
loop_
_symmetry_equiv_pos_as_xyz
'x,y,z'
loop_
_atom_site_label
_atom_site_type_symbol
_atom_site_fract_x
_atom_site_fract_y
_atom_site_fract_z
_atom_site_occupancy
Tm1 Tm 0.000 0.000 0.000 1
Tm2 Tm 0.000 0.500 0.266 1
Tm3 Tm 0.000 0.500 0.734 1
Tm4 Tm 0.500 0.000 0.266 1
Tm5 Tm 0.500 0.000 0.734 1
Tm6 Tm 0.500 0.500 0.249 1
Tm7 Tm 0.500 0.500 0.751 1
Tl1 Tl 0.183 0.183 0.500 1
Tl2 Tl 0.817 0.817 0.500 1
Ag1 Ag 0.290 0.710 0.000 1
Ag2 Ag 0.710 0.290 0.000 1
```

(5)
This entry pairs a crystal structure of Ac6Mg23Pd with its calculated powder XRD pattern. Radiation: Cu Kα. Structure: a PBE-relaxed structure.
Intensities are scaled so that the largest is 100.

The 10 most intense peaks (10° ≤ 2θ ≤ 90°), in order of rising 2θ:
2theta  I (rel.)
10.3  55
11.9  46
20.6  64
23.9  54
31.2  100
34.0  69
43.3  41
46.8  26
52.0  28
64.7  34

Structural model:
```
data_Ac6Mg23Pd
_cell_length_a 10.544
_cell_length_b 10.544
_cell_length_c 10.544
_cell_angle_alpha 60.00
_cell_angle_beta 60.00
_cell_angle_gamma 60.00
_symmetry_space_group_name_H-M 'P 1'
_symmetry_Int_Tables_number 1
loop_
_symmetry_equiv_pos_as_xyz
'x,y,z'
loop_
_atom_site_label
_atom_site_type_symbol
_atom_site_fract_x
_atom_site_fract_y
_atom_site_fract_z
_atom_site_occupancy
Ac1 Ac 0.207 0.207 0.793 1
Ac2 Ac 0.207 0.793 0.207 1
Ac3 Ac 0.207 0.793 0.793 1
Ac4 Ac 0.793 0.207 0.207 1
Ac5 Ac 0.793 0.207 0.793 1
Ac6 Ac 0.793 0.793 0.207 1
Mg1 Mg 0.000 0.000 0.500 1
Mg2 Mg 0.000 0.500 0.000 1
Mg3 Mg 0.000 0.500 0.500 1
Mg4 Mg 0.133 0.622 0.622 1
Mg5 Mg 0.175 0.175 0.175 1
Mg6 Mg 0.175 0.175 0.476 1
Mg7 Mg 0.175 0.476 0.175 1
Mg8 Mg 0.378 0.378 0.378 1
Mg9 Mg 0.378 0.378 0.867 1
Mg10 Mg 0.378 0.867 0.378 1
Mg11 Mg 0.476 0.175 0.175 1
Mg12 Mg 0.500 0.000 0.000 1
Mg13 Mg 0.500 0.000 0.500 1
Mg14 Mg 0.500 0.500 0.000 1
Mg15 Mg 0.500 0.500 0.500 1
Mg16 Mg 0.524 0.825 0.825 1
Mg17 Mg 0.622 0.133 0.622 1
Mg18 Mg 0.622 0.622 0.133 1
Mg19 Mg 0.622 0.622 0.622 1
Mg20 Mg 0.825 0.524 0.825 1
Mg21 Mg 0.825 0.825 0.524 1
Mg22 Mg 0.825 0.825 0.825 1
Mg23 Mg 0.867 0.378 0.378 1
Pd1 Pd 0.000 0.000 0.000 1
```

(6)
This entry pairs a crystal structure of Tl2SnHgSb2 with its calculated powder XRD pattern. Radiation: Cu Kα. Structure: a PBE-relaxed structure.
Intensities are scaled so that the largest is 100.

The 10 most intense peaks (10° ≤ 2θ ≤ 90°), in order of rising 2θ:
2theta  I (rel.)
12.1  22
26.7  45
27.4  42
29.8  59
34.2  66
34.4  100
34.8  62
51.3  24
61.2  24
62.2  21

Structural model:
```
data_Tl2SnHgSb2
_cell_length_a 8.994
_cell_length_b 8.994
_cell_length_c 8.994
_cell_angle_alpha 132.39
_cell_angle_beta 70.89
_cell_angle_gamma 130.79
_symmetry_space_group_name_H-M 'P 1'
_symmetry_Int_Tables_number 1
loop_
_symmetry_equiv_pos_as_xyz
'x,y,z'
loop_
_atom_site_label
_atom_site_type_symbol
_atom_site_fract_x
_atom_site_fract_y
_atom_site_fract_z
_atom_site_occupancy
Tl1 Tl 0.164 0.226 0.390 1
Tl2 Tl 0.336 0.726 0.061 1
Tl3 Tl 0.664 0.274 0.939 1
Tl4 Tl 0.836 0.774 0.610 1
Sn1 Sn 0.250 0.750 0.500 1
Sn2 Sn 0.750 0.250 0.500 1
Hg1 Hg 0.250 0.250 0.000 1
Hg2 Hg 0.750 0.750 0.000 1
Sb1 Sb 0.109 0.745 0.854 1
Sb2 Sb 0.391 0.245 0.636 1
Sb3 Sb 0.609 0.755 0.364 1
Sb4 Sb 0.891 0.255 0.146 1
```